Diffraction record for TbPmSnRu. The powder X-ray diffraction pattern is calculated, not measured: it uses DFT lattice parameters and positions (PBE) and copper Kα.
Lines closer than 0.1° are merged.

a = 3.788 Å, b = 4.634 Å, c = 11.546 Å
α = 90.00°, β = 90.00°, γ = 90.00°
Space group Amm2 (No. 38)
Symmetry-distinct sites (fractional):
Tb 0.000 0.000 0.000 [2 per cell]
Pm 0.500 0.000 0.297 [2 per cell]
Sn 0.000 0.000 0.701 [2 per cell]
Ru 0.500 0.000 0.532 [2 per cell]

The 10 most intense peaks (2θ from 10° to 90°), low angle first:
30.2°, intensity 38, hkl 0 1 3; 31.0°, intensity 24, hkl 0 0 4; 31.5°, intensity 100, hkl 1 1 1; 38.6°, intensity 47, hkl 1 1 3; 38.9°, intensity 32, hkl 0 2 0; 39.2°, intensity 24, hkl 1 0 4; 48.0°, intensity 17, hkl 2 0 0; 50.3°, intensity 13, hkl 1 1 5; 56.4°, intensity 17, hkl 1 2 4; 63.4°, intensity 15, hkl 2 2 0



Diffraction record for CsI. The powder X-ray diffraction pattern is calculated, not measured: it uses DFT lattice parameters and positions (PBE) and copper Kα.
Lines closer than 0.1° are merged.

a = 4.661 Å, b = 4.661 Å, c = 4.661 Å
α = 90.00°, β = 90.00°, γ = 90.00°
Space group Pm-3m (No. 221)
Symmetry-distinct sites (fractional):
Cs 0.000 0.000 0.000 [1 per cell]
I 0.500 0.500 0.500 [1 per cell]

The 9 most intense peaks (2θ from 10° to 90°), low angle first:
27.1°, intensity 100, hkl 1 1 0; 38.6°, intensity 19, hkl 2 0 0; 47.8°, intensity 41, hkl 2 1 1; 55.8°, intensity 13, hkl 2 2 0; 63.1°, intensity 18, hkl 3 1 0; 69.9°, intensity 4, hkl 2 2 2; 76.5°, intensity 21, hkl 3 2 1; 82.8°, intensity 2, hkl 4 0 0; 89.1°, intensity 11, hkl 4 1 1